Structure and theoretical XRD peak list of Na2YPWO8 (a crystal structure in the Materials Project, relaxed with PBE+U; Cu Kα (weighted mean of Kα1 and Kα2)).
No peak broadening, texture or thermal motion is included.

The 10 most intense peaks (10 to 90 degrees two-theta), in order of rising 2θ:
| 2theta | I (rel.) |
| --- | --- |
| 14.42 | 73 |
| 17.52 | 100 |
| 24.31 | 77 |
| 27.05 | 67 |
| 27.36 | 74 |
| 29.14 | 45 |
| 31.97 | 45 |
| 32.22 | 27 |
| 32.69 | 30 |
| 49.48 | 26 |

Crystal structure
a = 11.590 Å, b = 11.590 Å, c = 11.590 Å
α = 144.99°, β = 115.98°, γ = 75.10°
Element x y z (fractional)
Na 0.094 0.664 0.451
Na 0.213 0.164 0.070
Na 0.287 0.357 0.951
Na 0.406 0.857 0.570
Na 0.594 0.143 0.430
Na 0.713 0.643 0.049
Na 0.787 0.836 0.930
Na 0.906 0.336 0.549
Y 0.177 0.750 0.927
Y 0.323 0.250 0.573
Y 0.677 0.750 0.427
Y 0.823 0.250 0.073
P 0.070 0.250 0.320
P 0.430 0.750 0.180
P 0.570 0.250 0.820
P 0.930 0.750 0.680
W 0.073 0.823 0.250
W 0.427 0.677 0.750
W 0.573 0.323 0.250
W 0.927 0.177 0.750
O 0.062 0.332 0.259
O 0.073 0.832 0.771
O 0.102 0.189 0.826
O 0.104 0.670 0.013
O 0.137 0.724 0.326
O 0.141 0.416 0.572
O 0.156 0.091 0.487
O 0.157 0.084 0.225
O 0.343 0.568 0.928
O 0.344 0.830 0.934
O 0.359 0.932 0.275
O 0.363 0.689 0.587
O 0.396 0.409 0.566
O 0.398 0.224 0.087
O 0.427 0.197 0.759
O 0.438 0.697 0.271
O 0.562 0.303 0.729
O 0.573 0.803 0.241
O 0.602 0.776 0.913
O 0.604 0.591 0.434
O 0.637 0.311 0.413
O 0.641 0.068 0.725
O 0.656 0.170 0.066
O 0.657 0.432 0.072
O 0.843 0.916 0.775
O 0.844 0.909 0.513
O 0.859 0.584 0.428
O 0.863 0.276 0.674
O 0.896 0.330 0.987
O 0.898 0.811 0.174
O 0.927 0.168 0.229
O 0.938 0.668 0.741

***

Structure and theoretical XRD peak list of NaV3Pb4O12 (a crystal structure in the Materials Project, relaxed with PBE+U; Cu Kα (weighted mean of Kα1 and Kα2)).
No peak broadening, texture or thermal motion is included.

The 10 most intense peaks (10 to 90 degrees two-theta), in order of rising 2θ:
| 2theta | I (rel.) |
| --- | --- |
| 15.55 | 23 |
| 21.02 | 36 |
| 26.47 | 23 |
| 29.12 | 100 |
| 29.71 | 49 |
| 30.09 | 34 |
| 40.50 | 22 |
| 45.53 | 32 |
| 46.06 | 30 |
| 47.63 | 27 |

Crystal structure
a = 10.288 Å, b = 10.288 Å, c = 7.413 Å
α = 90.00°, β = 90.00°, γ = 120.00°
Element x y z (fractional)
Na 0.333 0.667 0.000
Na 0.667 0.333 0.500
V 0.020 0.396 0.742
V 0.377 0.980 0.742
V 0.396 0.377 0.242
V 0.604 0.623 0.742
V 0.623 0.020 0.242
V 0.980 0.604 0.242
Pb 0.005 0.747 0.740
Pb 0.253 0.258 0.740
Pb 0.258 0.005 0.240
Pb 0.333 0.667 0.470
Pb 0.667 0.333 0.970
Pb 0.742 0.995 0.740
Pb 0.747 0.742 0.240
Pb 0.995 0.253 0.240
O 0.083 0.339 0.926
O 0.085 0.344 0.556
O 0.104 0.594 0.742
O 0.176 0.693 0.243
O 0.256 0.917 0.926
O 0.258 0.915 0.556
O 0.307 0.483 0.243
O 0.339 0.256 0.426
O 0.344 0.258 0.056
O 0.406 0.510 0.742
O 0.483 0.176 0.743
O 0.490 0.896 0.742
O 0.510 0.104 0.242
O 0.517 0.824 0.243
O 0.594 0.490 0.242
O 0.656 0.742 0.556
O 0.661 0.744 0.926
O 0.693 0.517 0.743
O 0.742 0.085 0.056
O 0.744 0.083 0.426
O 0.824 0.307 0.743
O 0.896 0.406 0.242
O 0.915 0.656 0.056
O 0.917 0.661 0.426

***

Structure and theoretical XRD peak list of NaPrZrVO6 (a crystal structure in the Materials Project, relaxed with PBE+U; Cu Kα (weighted mean of Kα1 and Kα2)).
No peak broadening, texture or thermal motion is included.

The 10 most intense peaks (10 to 90 degrees two-theta), in order of rising 2θ:
| 2theta | I (rel.) |
| --- | --- |
| 19.21 | 45 |
| 31.63 | 100 |
| 37.27 | 26 |
| 45.34 | 38 |
| 49.66 | 12 |
| 56.33 | 38 |
| 60.08 | 9 |
| 66.05 | 22 |
| 69.50 | 9 |
| 75.09 | 16 |

Crystal structure
a = 5.658 Å, b = 5.658 Å, c = 5.658 Å
α = 60.00°, β = 60.00°, γ = 60.00°
Element x y z (fractional)
Na 0.000 0.000 0.000
Pr 0.500 0.500 0.500
Zr 0.750 0.750 0.750
V 0.250 0.250 0.250
O 0.009 0.009 0.491
O 0.009 0.491 0.009
O 0.009 0.491 0.491
O 0.491 0.009 0.009
O 0.491 0.009 0.491
O 0.491 0.491 0.009

***

Structure and theoretical XRD peak list of Rb3NaW2O8 (a crystal structure in the Materials Project, relaxed with PBE+U; Cu Kα (weighted mean of Kα1 and Kα2)).
No peak broadening, texture or thermal motion is included.

The 10 most intense peaks (10 to 90 degrees two-theta), in order of rising 2θ:
| 2theta | I (rel.) |
| --- | --- |
| 16.10 | 24 |
| 19.55 | 54 |
| 22.16 | 19 |
| 27.51 | 68 |
| 28.07 | 100 |
| 37.38 | 19 |
| 39.71 | 37 |
| 49.33 | 26 |
| 49.67 | 20 |
| 58.02 | 17 |

Crystal structure
a = 6.358 Å, b = 6.358 Å, c = 8.023 Å
α = 90.00°, β = 90.00°, γ = 120.00°
Element x y z (fractional)
Rb 0.000 0.000 0.000
Rb 0.333 0.667 0.331
Rb 0.667 0.333 0.669
Na 0.000 0.000 0.500
W 0.333 0.667 0.776
W 0.667 0.333 0.224
O 0.178 0.357 0.695
O 0.178 0.822 0.695
O 0.333 0.667 0.001
O 0.357 0.178 0.305
O 0.643 0.822 0.695
O 0.667 0.333 0.999
O 0.822 0.178 0.305
O 0.822 0.643 0.305

***

Structure and theoretical XRD peak list of NaV3S2O14 (a crystal structure in the Materials Project, relaxed with PBE+U; Cu Kα (weighted mean of Kα1 and Kα2)).
No peak broadening, texture or thermal motion is included.

The 10 most intense peaks (10 to 90 degrees two-theta), in order of rising 2θ:
| 2theta | I (rel.) |
| --- | --- |
| 15.02 | 30 |
| 15.33 | 17 |
| 17.63 | 93 |
| 29.49 | 100 |
| 29.66 | 57 |
| 30.30 | 20 |
| 38.53 | 28 |
| 47.19 | 25 |
| 51.80 | 22 |
| 60.44 | 21 |

Crystal structure
a = 7.170 Å, b = 7.170 Å, c = 7.170 Å
α = 58.98°, β = 58.98°, γ = 58.98°
Element x y z (fractional)
Na 0.000 0.000 0.000
V 0.042 0.500 0.958
V 0.500 0.958 0.042
V 0.958 0.042 0.500
S 0.304 0.304 0.304
S 0.696 0.696 0.696
O 0.105 0.733 0.731
O 0.155 0.160 0.505
O 0.160 0.505 0.155
O 0.267 0.895 0.269
O 0.269 0.267 0.895
O 0.385 0.385 0.385
O 0.495 0.840 0.845
O 0.505 0.155 0.160
O 0.615 0.615 0.615
O 0.731 0.105 0.733
O 0.733 0.731 0.105
O 0.840 0.845 0.495
O 0.845 0.495 0.840
O 0.895 0.269 0.267

***

Structure and theoretical XRD peak list of Na3VS3O12 (a crystal structure in the Materials Project, relaxed with PBE+U; Cu Kα (weighted mean of Kα1 and Kα2)).
No peak broadening, texture or thermal motion is included.

The 10 most intense peaks (10 to 90 degrees two-theta), in order of rising 2θ:
| 2theta | I (rel.) |
| --- | --- |
| 12.96 | 49 |
| 22.07 | 35 |
| 27.72 | 100 |
| 28.86 | 65 |
| 31.79 | 14 |
| 33.46 | 15 |
| 36.97 | 14 |
| 43.69 | 16 |
| 48.03 | 13 |
| 58.95 | 12 |

Crystal structure
a = 8.473 Å, b = 8.473 Å, c = 8.473 Å
α = 107.50°, β = 107.50°, γ = 107.50°
Element x y z (fractional)
Na 0.115 0.264 0.644
Na 0.264 0.644 0.115
Na 0.356 0.885 0.736
Na 0.644 0.115 0.264
Na 0.736 0.356 0.885
Na 0.885 0.736 0.356
V 0.000 0.000 0.000
V 0.500 0.500 0.500
S 0.052 0.402 0.264
S 0.264 0.052 0.402
S 0.402 0.264 0.052
S 0.598 0.736 0.948
S 0.736 0.948 0.598
S 0.948 0.598 0.736
O 0.019 0.257 0.086
O 0.020 0.475 0.789
O 0.028 0.679 0.632
O 0.086 0.019 0.257
O 0.211 0.980 0.525
O 0.257 0.086 0.019
O 0.258 0.512 0.372
O 0.321 0.368 0.972
O 0.368 0.972 0.321
O 0.372 0.258 0.512
O 0.475 0.789 0.020
O 0.488 0.628 0.742
O 0.512 0.372 0.258
O 0.525 0.211 0.980
O 0.628 0.742 0.488
O 0.632 0.028 0.679
O 0.679 0.632 0.028
O 0.742 0.488 0.628
O 0.743 0.914 0.981
O 0.789 0.020 0.475
O 0.914 0.981 0.743
O 0.972 0.321 0.368
O 0.980 0.525 0.211
O 0.981 0.743 0.914